[1]
Starting from the GGA-PBE geometry in the Materials Project, the X-ray diffraction stick pattern of Ti2Re was simulated for Cu Kα (weighted mean of Kα1 and Kα2).

Top 10 peaks for 10 to 90 degrees two-theta, by angle:
2theta  I/Imax
23.39  78.1
31.51  16.6
39.61  100.0
41.10  76.9
52.69  24.6
58.40  31.8
70.84  20.3
73.88  31.5
74.89  12.6
85.31  12.5

Structural model:
```
data_Ti2Re
_space_group_name_H-M_alt 'P -3 m 1'
_space_group_IT_number 164
_space_group_name_Hall '-P 3 2"'
_cell_length_a 4.3925
_cell_length_b 4.3925
_cell_length_c 2.8396
_cell_angle_alpha 90.00
_cell_angle_beta 90.00
_cell_angle_gamma 120.00
loop_
_atom_site_label
_atom_site_fract_x
_atom_site_fract_y
_atom_site_fract_z
Ti1 0.3333 0.6667 0.2968
Re1 0.0000 0.0000 0.0000
```



[2]
Starting from the GGA-PBE geometry in the Materials Project, the X-ray diffraction stick pattern of Ti5Re24 was simulated for Cu Kα (weighted mean of Kα1 and Kα2).

Top 10 peaks for 10 to 90 degrees two-theta, by angle:
2theta  I/Imax
12.97  9.1
22.56  14.9
37.26  10.4
39.61  100.0
44.00  41.1
48.06  39.6
68.77  9.3
71.87  29.3
73.40  12.5
85.33  13.0

Structural model:
```
data_Ti5Re24
_space_group_name_H-M_alt 'I -4 3 m'
_space_group_IT_number 217
_space_group_name_Hall 'I -4 2 3'
_cell_length_a 9.653
_cell_length_b 9.653
_cell_length_c 9.653
_cell_angle_alpha 90.00
_cell_angle_beta 90.00
_cell_angle_gamma 90.00
loop_
_atom_site_label
_atom_site_fract_x
_atom_site_fract_y
_atom_site_fract_z
Ti1 0.000 0.000 0.000
Ti2 0.184 0.184 0.184
Re1 0.040 0.359 0.641
Re2 0.091 0.091 0.716
```